Record 1
Structure and calculated XRD peak list of SrCa3TiMn3O12 (a DFT-relaxed cell (GGA+U, Alexandria); λ = 1.5418 Å (Cu Kα)).

The 10 most intense peaks (15 to 90 degrees two-theta), by angle:
| 2θ/deg | I_rel |
| --- | --- |
| 23.1 | 6 |
| 32.8 | 20 |
| 33.0 | 100 |
| 40.6 | 6 |
| 40.7 | 6 |
| 47.3 | 58 |
| 58.7 | 21 |
| 58.9 | 21 |
| 69.1 | 20 |
| 78.7 | 12 |

```
data_SrCa3TiMn3O12
_symmetry_space_group_name_H-M 'A m m 2'
_symmetry_Int_Tables_number 38
_symmetry_space_group_name_Hall 'A 2 -2'
_cell_length_a 3.8438
_cell_length_b 10.8524
_cell_length_c 10.9086
_cell_angle_alpha 90.00
_cell_angle_beta 90.00
_cell_angle_gamma 90.00
loop_
_atom_site_label
_atom_site_fract_x
_atom_site_fract_y
_atom_site_fract_z
_atom_site_occupancy
Sr1 0.0000 0.0000 0.0000 1
Ca1 0.0000 0.0000 0.5132 1
Ca2 0.0000 0.2467 0.7593 1
Ti1 0.5000 0.0000 0.2561 1
Mn1 0.5000 0.0000 0.7505 1
Mn2 0.5000 0.2489 0.5023 1
O1 0.0000 0.0000 0.2466 1
O2 0.0000 0.0000 0.7450 1
O3 0.0000 0.2444 0.4903 1
O4 0.5000 0.1211 0.6195 1
O5 0.5000 0.1265 0.3744 1
O6 0.5000 0.1293 0.8689 1
O7 0.5000 0.1297 0.1228 1
```



Record 2
Structure and calculated XRD peak list of Ca2Ta2MnO8 (a DFT-relaxed cell (GGA+U, Alexandria); λ = 1.5418 Å (Cu Kα)).

The 10 most intense peaks (15 to 90 degrees two-theta), by angle:
| 2θ/deg | I_rel |
| --- | --- |
| 18.4 | 75 |
| 19.6 | 43 |
| 21.7 | 49 |
| 27.0 | 70 |
| 31.2 | 86 |
| 32.0 | 73 |
| 32.4 | 100 |
| 32.6 | 60 |
| 37.8 | 47 |
| 48.8 | 42 |

```
data_Ca2Ta2MnO8
_symmetry_space_group_name_H-M 'C 1 2/c 1'
_symmetry_Int_Tables_number 15
_symmetry_space_group_name_Hall '-C 2yc'
_cell_length_a 19.2898
_cell_length_b 6.4004
_cell_length_c 5.5000
_cell_angle_alpha 90.00
_cell_angle_beta 91.95
_cell_angle_gamma 90.00
loop_
_atom_site_label
_atom_site_fract_x
_atom_site_fract_y
_atom_site_fract_z
_atom_site_occupancy
Ca1 0.2098 0.1740 0.2441 1
Ta1 0.1139 0.3528 0.7525 1
Mn1 0.0000 0.1437 0.2500 1
O1 0.0585 0.1520 0.5918 1
O2 0.0724 0.3788 0.0832 1
O3 0.1825 0.4355 0.4945 1
O4 0.1858 0.1548 0.8438 1
```



Record 3
Structure and calculated XRD peak list of CaTb3Mn4O12 (a DFT-relaxed cell (GGA+U, Alexandria); λ = 1.5418 Å (Cu Kα)).

The 10 most intense peaks (15 to 90 degrees two-theta), by angle:
| 2θ/deg | I_rel |
| --- | --- |
| 25.6 | 31 |
| 25.9 | 25 |
| 31.5 | 39 |
| 32.8 | 99 |
| 33.1 | 100 |
| 33.5 | 49 |
| 33.7 | 28 |
| 47.9 | 46 |
| 59.7 | 28 |
| 59.8 | 23 |

```
data_CaTb3Mn4O12
_symmetry_space_group_name_H-M 'P 1 m 1'
_symmetry_Int_Tables_number 6
_symmetry_space_group_name_Hall 'P -2y'
_cell_length_a 5.3457
_cell_length_b 7.6024
_cell_length_c 5.6774
_cell_angle_alpha 90.00
_cell_angle_beta 90.89
_cell_angle_gamma 90.00
loop_
_atom_site_label
_atom_site_fract_x
_atom_site_fract_y
_atom_site_fract_z
_atom_site_occupancy
Ca1 0.0000 0.0000 0.0000 1
Tb1 0.0332 0.5000 0.1336 1
Tb2 0.4966 0.5000 0.6319 1
Tb3 0.5302 0.0000 0.4922 1
Mn1 0.0115 0.2487 0.5644 1
Mn2 0.5169 0.2482 0.0606 1
O1 0.1193 0.0000 0.5933 1
O2 0.2165 0.3085 0.8636 1
O3 0.3040 0.3043 0.3715 1
O4 0.4209 0.0000 0.0969 1
O5 0.6200 0.5000 0.0299 1
O6 0.7111 0.2039 0.7433 1
O7 0.8116 0.2016 0.2631 1
O8 0.9085 0.5000 0.5289 1
```



> Which formula does entry 1 have?

SrCa3TiMn3O12



Copy entry 1 word for word.
Structure and calculated XRD peak list of SrCa3TiMn3O12 (a DFT-relaxed cell (GGA+U, Alexandria); λ = 1.5418 Å (Cu Kα)).

The 10 most intense peaks (15 to 90 degrees two-theta), by angle:
| 2θ/deg | I_rel |
| --- | --- |
| 23.1 | 6 |
| 32.8 | 20 |
| 33.0 | 100 |
| 40.6 | 6 |
| 40.7 | 6 |
| 47.3 | 58 |
| 58.7 | 21 |
| 58.9 | 21 |
| 69.1 | 20 |
| 78.7 | 12 |

```
data_SrCa3TiMn3O12
_symmetry_space_group_name_H-M 'A m m 2'
_symmetry_Int_Tables_number 38
_symmetry_space_group_name_Hall 'A 2 -2'
_cell_length_a 3.8438
_cell_length_b 10.8524
_cell_length_c 10.9086
_cell_angle_alpha 90.00
_cell_angle_beta 90.00
_cell_angle_gamma 90.00
loop_
_atom_site_label
_atom_site_fract_x
_atom_site_fract_y
_atom_site_fract_z
_atom_site_occupancy
Sr1 0.0000 0.0000 0.0000 1
Ca1 0.0000 0.0000 0.5132 1
Ca2 0.0000 0.2467 0.7593 1
Ti1 0.5000 0.0000 0.2561 1
Mn1 0.5000 0.0000 0.7505 1
Mn2 0.5000 0.2489 0.5023 1
O1 0.0000 0.0000 0.2466 1
O2 0.0000 0.0000 0.7450 1
O3 0.0000 0.2444 0.4903 1
O4 0.5000 0.1211 0.6195 1
O5 0.5000 0.1265 0.3744 1
O6 0.5000 0.1293 0.8689 1
O7 0.5000 0.1297 0.1228 1
```



Copy entry 1 word for word.
Structure and calculated XRD peak list of SrCa3TiMn3O12 (a DFT-relaxed cell (GGA+U, Alexandria); λ = 1.5418 Å (Cu Kα)).

The 10 most intense peaks (15 to 90 degrees two-theta), by angle:
| 2θ/deg | I_rel |
| --- | --- |
| 23.1 | 6 |
| 32.8 | 20 |
| 33.0 | 100 |
| 40.6 | 6 |
| 40.7 | 6 |
| 47.3 | 58 |
| 58.7 | 21 |
| 58.9 | 21 |
| 69.1 | 20 |
| 78.7 | 12 |

```
data_SrCa3TiMn3O12
_symmetry_space_group_name_H-M 'A m m 2'
_symmetry_Int_Tables_number 38
_symmetry_space_group_name_Hall 'A 2 -2'
_cell_length_a 3.8438
_cell_length_b 10.8524
_cell_length_c 10.9086
_cell_angle_alpha 90.00
_cell_angle_beta 90.00
_cell_angle_gamma 90.00
loop_
_atom_site_label
_atom_site_fract_x
_atom_site_fract_y
_atom_site_fract_z
_atom_site_occupancy
Sr1 0.0000 0.0000 0.0000 1
Ca1 0.0000 0.0000 0.5132 1
Ca2 0.0000 0.2467 0.7593 1
Ti1 0.5000 0.0000 0.2561 1
Mn1 0.5000 0.0000 0.7505 1
Mn2 0.5000 0.2489 0.5023 1
O1 0.0000 0.0000 0.2466 1
O2 0.0000 0.0000 0.7450 1
O3 0.0000 0.2444 0.4903 1
O4 0.5000 0.1211 0.6195 1
O5 0.5000 0.1265 0.3744 1
O6 0.5000 0.1293 0.8689 1
O7 0.5000 0.1297 0.1228 1
```